Starting from a DFT-relaxed cell (PBE, Alexandria), the powder X-ray diffraction pattern of Pm4Er3Si4 was simulated for Cu Kα, 1.54184 Å.
Neutral-atom scattering factors, no anomalous dispersion.

Crystal structure
Unit cell a=9.9923 b=9.9923 c=9.9923 alpha=159.59 beta=127.42 gamma=56.98
Fractional coordinates of all 11 atoms:
Pm 0.0071 0.8318 0.1753
Pm 0.3435 0.1682 0.1753
Pm 0.6565 0.8318 0.8247
Pm 0.9929 0.1682 0.8247
Er 0.0000 0.5000 0.5000
Er 0.4087 0.4087 0.0000
Er 0.5913 0.5913 0.0000
Si 0.2761 0.0000 0.2761
Si 0.2792 0.7792 0.5000
Si 0.7208 0.2208 0.5000
Si 0.7239 0.0000 0.7239

Principal peaks in the range 2θ = 10–90°, low angle first:
d = 3.952 Å, intensity 28; d = 3.288 Å, intensity 18; d = 3.265 Å, intensity 43; d = 3.030 Å, intensity 49; d = 2.731 Å, intensity 71; d = 2.633 Å, intensity 100; d = 2.495 Å, intensity 24; d = 2.442 Å, intensity 20; d = 1.792 Å, intensity 48; d = 1.470 Å, intensity 18